Calculated powder XRD pattern
Compound: Li2MgZn2InPt2
Radiation: copper Kα
Structure: DFT lattice parameters and positions (GGA-PBE)
No peak broadening, texture or thermal motion is included.

Cell and atoms:
```
data_Li2MgZn2InPt2
_chemical_formula_sum 'Li2 Mg1 Zn2 In1 Pt2'
_cell_length_a 4.4454
_cell_length_b 4.4454
_cell_length_c 6.2995
_cell_angle_alpha 90.00
_cell_angle_beta 90.00
_cell_angle_gamma 90.00
_symmetry_space_group_name_H-M 'P -4 m 2'
_symmetry_Int_Tables_number 115
loop_
_symmetry_equiv_pos_as_xyz
'x,y,z'
'y,-x,-z'
'-x,-y,z'
'-y,x,-z'
'-x,y,z'
'-y,-x,-z'
'x,-y,z'
'y,x,-z'
loop_
_atom_site_label
_atom_site_fract_x
_atom_site_fract_y
_atom_site_fract_z
Li1 0.0000 0.5000 0.2437
Mg1 0.0000 0.0000 0.0000
Zn1 0.0000 0.0000 0.5000
Zn2 0.5000 0.5000 0.0000
In1 0.5000 0.5000 0.5000
Pt1 0.0000 0.5000 0.7554
```

Principal peaks in the range 10° ≤ 2θ ≤ 90°, low angle first:
- 2θ = 19.97°, rel. 4
- 2θ = 24.51°, rel. 74
- 2θ = 31.82°, rel. 3
- 2θ = 40.56°, rel. 100
- 2θ = 47.96°, rel. 38
- 2θ = 58.62°, rel. 6
- 2θ = 58.75°, rel. 11
- 2θ = 64.57°, rel. 16
- 2θ = 73.79°, rel. 33
- 2θ = 79.14°, rel. 9
- 2θ = 87.73°, rel. 7
- 2θ = 87.84°, rel. 4